1.
For La3Tb2CeP6, a PBE-relaxed structure gives the theoretical powder X-ray diffraction pattern in this record (Cu Kα).

Crystal structure
```
12
Lattice="3.598 -6.230 0.000 3.598 6.230 0.000 -2.398 0.000 6.808" Properties=species:S:1:pos:R:3 pbc="T T T"
La 0.000 0.000 0.000
La 3.598 2.080 0.000
La 3.598 -2.080 0.000
Tb 2.399 4.155 3.404
Tb 2.399 -4.155 3.404
Ce 2.399 0.000 3.404
P 1.204 2.069 1.792
P 0.010 0.000 5.013
P 1.204 -2.069 1.792
P 3.593 2.069 5.016
P 4.788 0.000 1.795
P 3.593 -2.069 5.016
```

Largest 10 diffraction maxima, low angle first, 2θ from 15° to 90°:
2θ (°)  Rel. int.
26.2  20
26.3  59
30.4  100
43.5  37
43.6  37
51.5  23
51.6  16
54.1  19
71.9  16
80.0  18

2.
For Ir3Ru5, a PBE-relaxed structure gives the theoretical powder X-ray diffraction pattern in this record (Cu Kα).

Crystal structure
```
16
Lattice="7.651 0.000 0.000 0.000 7.657 0.000 0.000 0.000 3.857" Properties=species:S:1:pos:R:3 pbc="T T T"
Ir 0.000 0.000 0.000
Ir 1.906 3.829 1.929
Ir 1.920 0.000 1.929
Ir 3.825 3.829 0.000
Ir 5.731 0.000 1.929
Ir 5.745 3.829 1.929
Ru 0.000 1.924 1.929
Ru 0.000 3.829 0.000
Ru 0.000 5.733 1.929
Ru 1.913 1.914 0.000
Ru 1.913 5.743 0.000
Ru 3.825 0.000 0.000
Ru 3.825 1.904 1.929
Ru 3.825 5.753 1.929
Ru 5.738 1.914 0.000
Ru 5.738 5.743 0.000
```

Largest 10 diffraction maxima, low angle first, 2θ from 15° to 90°:
2θ (°)  Rel. int.
23.2  6
33.0  6
40.7  100
47.1  16
47.5  32
69.2  21
69.5  10
83.2  13
83.8  25
88.2  11

3.
For Ba2Ag3Se2S2, a PBE-relaxed structure gives the theoretical powder X-ray diffraction pattern in this record (Cu Kα).

Crystal structure
```
9
Lattice="-2.434 2.434 9.812 2.434 -2.434 9.812 2.434 2.434 -9.812" Properties=species:S:1:pos:R:3 pbc="T T T"
Ba 0.000 0.000 2.083
Ba 0.000 0.000 17.541
Ag 2.434 0.000 4.906
Ag 0.000 0.000 9.812
Ag 0.000 2.434 4.906
Se 0.000 0.000 6.334
Se 0.000 0.000 13.291
S 2.434 0.000 0.000
S 0.000 2.434 0.000
```

Largest 10 diffraction maxima, low angle first, 2θ from 15° to 90°:
2θ (°)  Rel. int.
25.9  16
27.5  27
29.2  100
31.8  69
36.9  79
47.8  50
53.2  28
53.8  21
63.3  18
79.1  13

4.
For Ac2LaPr2Nd, a PBE-relaxed structure gives the theoretical powder X-ray diffraction pattern in this record (Cu Kα).

Crystal structure
```
12
Lattice="7.465 0.000 0.000 0.000 6.032 0.000 0.000 0.000 10.389" Properties=species:S:1:pos:R:3 pbc="T T T"
Ac 0.000 0.000 0.000
Ac 1.866 3.016 1.765
Ac 3.733 0.000 0.000
Ac 5.599 3.016 8.623
La 0.000 3.016 5.194
La 3.733 3.016 5.194
Pr 1.866 0.000 3.555
Pr 1.866 3.016 8.569
Pr 5.599 0.000 6.834
Pr 5.599 3.016 1.819
Nd 1.866 0.000 6.912
Nd 5.599 0.000 3.476
```

Largest 10 diffraction maxima, low angle first, 2θ from 15° to 90°:
2θ (°)  Rel. int.
29.4  100
29.6  36
29.7  70
42.3  26
42.4  12
48.8  9
52.4  13
52.6  41
58.2  32
74.6  10

5.
For NdHoZnSi, a PBE-relaxed structure gives the theoretical powder X-ray diffraction pattern in this record (Cu Kα).

Crystal structure
```
8
Lattice="4.078 0.000 0.000 0.000 4.224 0.000 0.000 0.000 11.103" Properties=species:S:1:pos:R:3 pbc="T T T"
Nd 0.000 0.000 0.000
Nd 0.000 2.112 5.552
Ho 2.039 0.000 3.163
Ho 2.039 2.112 8.715
Zn 2.039 0.000 6.448
Zn 2.039 2.112 0.896
Si 0.000 0.000 7.991
Si 0.000 2.112 2.440
```

Largest 10 diffraction maxima, low angle first, 2θ from 15° to 90°:
2θ (°)  Rel. int.
22.5  15
27.1  48
31.5  100
32.2  83
39.2  56
42.8  23
44.4  20
51.4  17
55.9  35
71.7  16

6.
For HfTiCo5, a PBE-relaxed structure gives the theoretical powder X-ray diffraction pattern in this record (Cu Kα).

Crystal structure
```
7
Lattice="4.087 0.000 0.000 0.000 4.087 0.000 0.000 0.000 5.686" Properties=species:S:1:pos:R:3 pbc="T T T"
Hf 0.000 0.000 0.000
Ti 2.044 2.044 2.843
Co 0.000 2.044 1.535
Co 0.000 2.044 4.151
Co 2.044 0.000 1.535
Co 2.044 0.000 4.151
Co 2.044 2.044 0.000
```

Largest 10 diffraction maxima, low angle first, 2θ from 15° to 90°:
2θ (°)  Rel. int.
15.6  32
26.9  38
34.8  36
44.3  53
44.7  100
52.6  12
64.5  16
67.4  8
81.9  31
82.7  14

7.
For LaPr3Bi2, a PBE-relaxed structure gives the theoretical powder X-ray diffraction pattern in this record (Cu Kα).

Crystal structure
```
6
Lattice="4.703 0.000 0.000 0.000 4.703 0.000 0.000 0.000 9.172" Properties=species:S:1:pos:R:3 pbc="T T T"
La 0.000 0.000 0.000
Pr 0.000 2.351 3.269
Pr 2.351 0.000 5.903
Pr 2.351 2.351 0.000
Bi 0.000 2.351 6.591
Bi 2.351 0.000 2.581
```

Largest 10 diffraction maxima, low angle first, 2θ from 15° to 90°:
2θ (°)  Rel. int.
26.8  29
28.6  81
29.2  39
33.3  100
35.0  36
38.3  62
48.9  38
52.8  22
55.2  22
66.0  28

8.
For Li2NdNi9, a PBE-relaxed structure gives the theoretical powder X-ray diffraction pattern in this record (Cu Kα).

Crystal structure
```
24
Lattice="8.118 0.000 0.000 0.000 8.118 0.000 0.000 0.000 4.757" Properties=species:S:1:pos:R:3 pbc="T T T"
Li 0.920 3.139 0.000
Li 3.139 7.198 0.000
Li 4.979 0.920 0.000
Li 7.198 4.979 0.000
Nd 0.000 0.000 0.000
Nd 4.059 4.059 0.000
Ni 0.000 4.059 2.379
Ni 0.515 1.723 2.379
Ni 1.460 5.519 1.164
Ni 1.460 5.519 3.594
Ni 1.723 7.603 2.379
Ni 2.336 3.544 2.379
Ni 2.599 1.460 1.164
Ni 2.599 1.460 3.594
Ni 3.544 5.782 2.379
Ni 4.059 0.000 2.379
Ni 4.574 2.336 2.379
Ni 5.519 6.658 1.164
Ni 5.519 6.658 3.594
Ni 5.782 4.574 2.379
Ni 6.395 0.515 2.379
Ni 6.658 2.599 1.164
Ni 6.658 2.599 3.594
Ni 7.603 6.395 2.379
```

Largest 10 diffraction maxima, low angle first, 2θ from 15° to 90°:
2θ (°)  Rel. int.
18.7  30
24.3  48
24.5  27
36.6  47
39.9  100
44.1  57
45.6  54
46.1  64
50.3  27
86.1  23

9.
For La3GeP, a PBE-relaxed structure gives the theoretical powder X-ray diffraction pattern in this record (Cu Kα).

Crystal structure
```
10
Lattice="4.412 0.000 0.000 0.000 6.999 0.000 0.000 0.000 9.581" Properties=species:S:1:pos:R:3 pbc="T T T"
La 1.103 0.152 1.567
La 1.103 1.750 5.466
La 1.103 3.347 1.567
La 3.309 3.652 8.015
La 3.309 5.249 4.115
La 3.309 6.847 8.015
Ge 1.103 5.249 6.191
Ge 3.309 1.750 3.390
P 1.103 1.750 8.545
P 3.309 5.249 1.036
```

Largest 10 diffraction maxima, low angle first, 2θ from 15° to 90°:
2θ (°)  Rel. int.
27.1  54
27.5  100
27.9  20
31.7  17
34.0  99
38.1  23
40.9  30
49.8  20
50.6  22
60.1  18